# Er5GaSe5
Theoretical X-ray diffraction stick pattern, copper Kα. Input: a cell relaxed with PBE.
No peak broadening, texture or thermal motion is included.

a = 7.0676 Å, b = 7.0676 Å, c = 8.1137 Å
α = 106.80°, β = 106.80°, γ = 47.83°
Positions (direct):
Er: 0.0000 0.0000 0.0000
Er: 0.3372 0.3372 0.6683
Er: 0.3404 0.3404 0.1710
Er: 0.6596 0.6596 0.8290
Er: 0.6628 0.6628 0.3317
Ga: 0.5000 0.5000 0.0000
Se: 0.1702 0.1702 0.8368
Se: 0.1728 0.1728 0.3344
Se: 0.5000 0.5000 0.5000
Se: 0.8272 0.8272 0.6656
Se: 0.8298 0.8298 0.1632

Top 10 peaks for 15 to 90 degrees two-theta, by angle:
d (Å)  I/Imax
2.879  100
2.865  50
2.043  18
2.030  92
1.663  19
1.655  19
1.285  12
1.283  21
1.173  12
1.170  12